The following is a simulated PXRD pattern of PmCuSb2. It was derived from a DFT-relaxed cell (GGA-PBE, OQMD), using Cu Ka.
Intensities are scaled so that the largest is 100.

Atomic structure:
abc: 4.359 4.359 10.015
angles: 90.00 90.00 90.00
Atoms (fractional coordinates):
Pm 0.250 0.250 0.250
Pm 0.750 0.750 0.750
Cu 0.250 0.750 0.000
Cu 0.750 0.250 0.000
Sb 0.250 0.250 0.845
Sb 0.250 0.750 0.500
Sb 0.750 0.250 0.500
Sb 0.750 0.750 0.155

Largest 6 diffraction maxima, by angle, 2θ from 5° to 70°:
- 2θ = 27.12°, I = 16, (1 0 2)
- 2θ = 33.82°, I = 21, (1 0 3)
- 2θ = 34.16°, I = 100, (1 1 2)
- 2θ = 41.43°, I = 42, (2 0 0)
- 2θ = 50.12°, I = 16, (1 0 5)
- 2θ = 67.00°, I = 15, (2 1 5)